No. 1
For CaSm8Se12, a structure optimized by DFT (GGA-PBE) gives the theoretical PXRD pattern in this record (λ = 1.5418 Å (Cu Kα)).
Peak positions follow from Bragg's law for the DFT cell and can differ from measured ones.

The 10 most intense peaks (2θ from 10° to 90°), in order of rising 2θ:
2θ = 24.6°, d = 3.617 Å, intensity 25; 2θ = 31.9°, d = 2.802 Å, intensity 100; 2θ = 38.0°, d = 2.368 Å, intensity 65; 2θ = 45.8°, d = 1.981 Å, intensity 23; 2θ = 48.2°, d = 1.889 Å, intensity 16; 2θ = 50.5°, d = 1.808 Å, intensity 11; 2θ = 52.7°, d = 1.737 Å, intensity 18; 2θ = 64.9°, d = 1.437 Å, intensity 22; 2θ = 68.7°, d = 1.367 Å, intensity 12; 2θ = 79.5°, d = 1.206 Å, intensity 12

Structure:
```
CaSm8Se12
1.0
6.2612 -6.2716 0.0000
6.2612 6.2716 0.0000
-6.2549 0.0000 13.2814
Ca Sm Se
2 16 24
Cartesian
3.1337 5.4877 6.6407
6.2612 -5.4877 0.0000
4.6777 2.3746 0.0008
5.4756 4.7087 3.3166
1.5683 3.9322 11.0590
2.3453 1.5789 5.5262
-0.0012 0.7726 8.8473
3.1262 -0.7726 2.2066
-0.7821 -1.5789 12.1669
4.7162 2.3419 8.8554
1.5503 -2.3746 6.6415
6.2569 0.7886 4.4443
8.6172 1.5504 1.1068
3.1295 -0.7886 11.0850
5.4898 -1.5504 7.7475
4.6957 -3.9322 4.4183
7.8437 -2.3419 2.2147
2.3482 -4.7087 9.9573
-1.4132 3.1284 10.4175
0.7868 0.9331 2.8825
1.7004 3.1082 8.2178
-0.1109 0.0152 5.9889
-3.2383 -0.0152 12.6296
-2.3406 -0.9331 9.5232
3.9197 2.1962 2.8728
7.0574 4.0297 0.6656
4.8522 3.1346 5.9722
0.7792 0.9313 11.7263
1.7142 -3.1284 3.7768
6.1195 0.0079 1.5521
2.9921 -0.0079 8.1928
3.8891 2.2295 11.7125
3.9067 -0.9313 5.0856
0.7923 -2.1962 9.5135
4.8278 -3.1082 1.5771
7.0432 0.9381 7.2992
1.7247 -3.1346 12.6130
9.2350 0.0018 3.7561
6.1075 -0.0018 10.3969
3.9300 -4.0297 7.3063
10.1706 -0.9381 0.6584
7.0165 -2.2295 5.0717
```

No. 2
For CaZnSe2, a structure optimized by DFT (GGA-PBE) gives the theoretical PXRD pattern in this record (λ = 1.5418 Å (Cu Kα)).
Peak positions follow from Bragg's law for the DFT cell and can differ from measured ones.

The 10 most intense peaks (2θ from 10° to 90°), in order of rising 2θ:
2θ = 13.9°, d = 6.384 Å, intensity 11; 2θ = 25.0°, d = 3.559 Å, intensity 100; 2θ = 35.1°, d = 2.560 Å, intensity 7; 2θ = 41.1°, d = 2.198 Å, intensity 46; 2θ = 42.2°, d = 2.143 Å, intensity 24; 2θ = 47.7°, d = 1.906 Å, intensity 12; 2θ = 49.7°, d = 1.836 Å, intensity 29; 2θ = 61.2°, d = 1.515 Å, intensity 8; 2θ = 65.5°, d = 1.424 Å, intensity 9; 2θ = 76.3°, d = 1.248 Å, intensity 14

Structure:
```
CaZnSe2
1.0
4.2862 0.0000 0.0000
0.0000 4.2862 0.0000
0.0000 0.0000 6.3838
Ca Zn Se
1 1 2
Cartesian
0.0000 0.0000 0.0000
2.1431 2.1431 3.1919
0.0000 2.1431 4.5391
2.1431 0.0000 1.8447
```